LiMgSO4F: theoretical X-ray diffraction stick pattern (CuKα), based on a structure optimized by DFT (PBE).
Kinematic intensities with the Lorentz-polarization factor, no thermal factor.

Structural model:
a = 5.233 Å, b = 5.466 Å, c = 7.247 Å
α = 107.34°, β = 107.65°, γ = 96.58°
Atoms (fractional coordinates):
Li (0.242, 0.379, 0.224)
Li (0.758, 0.621, 0.776)
Mg (0.500, 0.000, 0.000)
Mg (0.500, 0.000, 0.500)
S (0.170, 0.367, 0.756)
S (0.830, 0.633, 0.244)
O (0.115, 0.747, 0.393)
O (0.181, 0.651, 0.858)
O (0.233, 0.239, 0.915)
O (0.373, 0.338, 0.649)
O (0.627, 0.662, 0.351)
O (0.767, 0.761, 0.085)
O (0.819, 0.349, 0.142)
O (0.885, 0.253, 0.607)
F (0.400, 0.091, 0.249)
F (0.600, 0.909, 0.751)

Most intense lines, 10° ≤ 2θ ≤ 90°, in order of rising 2θ:
18.01°, I = 490; 18.53°, I = 468; 26.05°, I = 616; 26.44°, I = 432; 26.99°, I = 758; 28.12°, I = 1000